Record 1
This entry pairs a crystal structure of CaZnCdO3 with its calculated PXRD pattern. Radiation: λ = 1.5418 Å (Cu Kα). Structure: a DFT-relaxed cell (GGA-PBE, Alexandria).

Crystal structure
abc: 6.311 3.186 9.168
angles: 90.00 92.42 90.00
Positions (direct):
Ca: 0.185 0.250 0.249
Ca: 0.815 0.750 0.751
Zn: 0.166 0.250 0.581
Zn: 0.834 0.750 0.419
Cd: 0.339 0.750 0.888
Cd: 0.661 0.250 0.112
O: 0.111 0.250 0.788
O: 0.200 0.750 0.457
O: 0.386 0.750 0.134
O: 0.614 0.250 0.866
O: 0.800 0.250 0.543
O: 0.889 0.750 0.212

Principal peaks in the range 2θ = 15–90°, in order of falling intensity:
16.7°, rel. 100; 33.2°, rel. 83; 40.2°, rel. 54; 34.3°, rel. 44; 28.3°, rel. 22; 43.1°, rel. 21; 60.7°, rel. 18; 32.0°, rel. 18; 35.2°, rel. 16; 44.6°, rel. 15

---

Record 2
This entry pairs a crystal structure of CaC with its calculated PXRD pattern. Radiation: λ = 1.5418 Å (Cu Kα). Structure: a DFT-relaxed cell (GGA-PBE, Alexandria).

Crystal structure
abc: 13.273 3.376 3.568
angles: 90.00 97.86 90.00
Positions (direct):
Ca: 0.118 0.000 0.188
Ca: 0.382 0.500 0.812
Ca: 0.618 0.500 0.188
Ca: 0.882 0.000 0.812
C: 0.035 0.500 0.648
C: 0.465 0.000 0.352
C: 0.535 0.000 0.648
C: 0.965 0.500 0.352

Principal peaks in the range 2θ = 15–90°, in order of falling intensity:
36.8°, rel. 100; 33.5°, rel. 74; 30.3°, rel. 65; 27.1°, rel. 65; 27.0°, rel. 52; 44.1°, rel. 45; 43.6°, rel. 45; 27.3°, rel. 43; 40.6°, rel. 33; 45.6°, rel. 31